Starting from a crystal structure in Alexandria, relaxed with GGA-PBE, the XRD peak list of TaI5 was computed for a wavelength of 1.5418 Å.

Structural model:
abc: 15.014 20.973 7.065
angles: 90.00 90.00 90.00
Atoms (fractional coordinates):
1 Ta 0.126 0.142 0.002
2 Ta 0.126 0.358 0.002
3 Ta 0.374 0.642 0.502
4 Ta 0.374 0.858 0.502
5 Ta 0.626 0.142 0.498
6 Ta 0.626 0.358 0.498
7 Ta 0.874 0.642 0.998
8 Ta 0.874 0.858 0.998
9 I 0.022 0.652 0.221
10 I 0.022 0.848 0.221
11 I 0.045 0.063 0.244
12 I 0.045 0.437 0.244
13 I 0.053 0.250 0.218
14 I 0.198 0.250 0.788
15 I 0.206 0.063 0.761
16 I 0.206 0.437 0.761
17 I 0.227 0.652 0.725
18 I 0.227 0.848 0.725
19 I 0.273 0.152 0.225
20 I 0.273 0.348 0.225
21 I 0.294 0.563 0.261
22 I 0.294 0.937 0.261
23 I 0.302 0.750 0.288
24 I 0.447 0.750 0.718
25 I 0.455 0.563 0.744
26 I 0.455 0.937 0.744
27 I 0.478 0.152 0.721
28 I 0.478 0.348 0.721
29 I 0.522 0.652 0.279
30 I 0.522 0.848 0.279
31 I 0.545 0.063 0.256
32 I 0.545 0.437 0.256
33 I 0.553 0.250 0.282
34 I 0.698 0.250 0.712
35 I 0.706 0.063 0.739
36 I 0.706 0.437 0.739
37 I 0.727 0.652 0.775
38 I 0.727 0.848 0.775
39 I 0.773 0.152 0.275
40 I 0.773 0.348 0.275
41 I 0.794 0.563 0.239
42 I 0.794 0.937 0.239
43 I 0.802 0.750 0.212
44 I 0.947 0.750 0.782
45 I 0.955 0.563 0.756
46 I 0.955 0.937 0.756
47 I 0.978 0.152 0.779
48 I 0.978 0.348 0.779

The 6 most intense peaks (5° ≤ 2θ ≤ 70°), low angle first:
- 12.5°, intensity 48
- 14.5°, intensity 28
- 26.9°, intensity 43
- 27.4°, intensity 100
- 35.3°, intensity 34
- 42.0°, intensity 29

=====

Starting from a crystal structure in Alexandria, relaxed with GGA-PBE, the XRD peak list of La3NdTm5 was computed for a wavelength of 1.5418 Å.

Structural model:
abc: 9.854 9.854 7.084
angles: 90.00 90.00 120.00
Atoms (fractional coordinates):
1 La 0.000 0.356 0.250
2 La 0.000 0.644 0.750
3 La 0.356 0.000 0.250
4 La 0.356 0.356 0.750
5 La 0.644 0.000 0.750
6 La 0.644 0.644 0.250
7 Nd 0.000 0.000 0.000
8 Nd 0.000 0.000 0.500
9 Tm 0.000 0.318 0.750
10 Tm 0.000 0.682 0.250
11 Tm 0.318 0.000 0.750
12 Tm 0.318 0.318 0.250
13 Tm 0.333 0.667 0.000
14 Tm 0.333 0.667 0.500
15 Tm 0.667 0.333 0.000
16 Tm 0.667 0.333 0.500
17 Tm 0.682 0.000 0.250
18 Tm 0.682 0.682 0.750

The 6 most intense peaks (5° ≤ 2θ ≤ 70°), low angle first:
- 31.1°, intensity 97
- 31.4°, intensity 100
- 44.8°, intensity 34
- 55.8°, intensity 35
- 56.0°, intensity 18
- 61.7°, intensity 29

=====

Starting from a crystal structure in Alexandria, relaxed with GGA-PBE, the XRD peak list of Hf2Sc5 was computed for a wavelength of 1.5418 Å.

Structural model:
abc: 8.028 8.028 8.028
angles: 36.84 36.84 36.84
Atoms (fractional coordinates):
1 Hf 0.142 0.142 0.142
2 Hf 0.858 0.858 0.858
3 Sc 0.000 0.000 0.000
4 Sc 0.277 0.277 0.277
5 Sc 0.431 0.431 0.431
6 Sc 0.569 0.569 0.569
7 Sc 0.723 0.723 0.723

The 6 most intense peaks (5° ≤ 2θ ≤ 70°), low angle first:
- 11.8°, intensity 77
- 20.6°, intensity 32
- 34.7°, intensity 100
- 35.4°, intensity 97
- 50.4°, intensity 34
- 63.1°, intensity 33

=====

Starting from a crystal structure in Alexandria, relaxed with GGA-PBE, the XRD peak list of AlInAgSe4 was computed for a wavelength of 1.5418 Å.

Structural model:
abc: 7.010 7.010 7.010
angles: 130.72 130.72 72.26
Atoms (fractional coordinates):
1 Al 0.000 0.000 0.000
2 In 0.750 0.250 0.500
3 Ag 0.250 0.750 0.500
4 Se 0.150 0.148 0.510
5 Se 0.360 0.850 0.999
6 Se 0.638 0.640 0.490
7 Se 0.852 0.362 0.001

The 6 most intense peaks (5° ≤ 2θ ≤ 70°), low angle first:
- 21.5°, intensity 21
- 26.7°, intensity 100
- 34.5°, intensity 24
- 43.8°, intensity 26
- 44.6°, intensity 44
- 52.0°, intensity 30

=====

Starting from a crystal structure in Alexandria, relaxed with GGA-PBE, the XRD peak list of KMgC2O10 was computed for a wavelength of 1.5418 Å.

Structural model:
abc: 5.106 6.259 7.171
angles: 71.60 71.66 68.64
Atoms (fractional coordinates):
1 K 0.000 0.000 0.000
2 Mg 0.000 0.500 0.500
3 C 0.406 0.459 0.742
4 C 0.594 0.541 0.258
5 O 0.211 0.138 0.411
6 O 0.246 0.360 0.708
7 O 0.288 0.640 0.815
8 O 0.315 0.632 0.297
9 O 0.322 0.115 0.235
10 O 0.678 0.885 0.765
11 O 0.685 0.368 0.703
12 O 0.712 0.360 0.185
13 O 0.754 0.640 0.292
14 O 0.789 0.862 0.589

The 6 most intense peaks (5° ≤ 2θ ≤ 70°), low angle first:
- 18.1°, intensity 30
- 28.9°, intensity 93
- 29.4°, intensity 100
- 31.7°, intensity 30
- 35.2°, intensity 33
- 36.7°, intensity 45

=====

Starting from a crystal structure in Alexandria, relaxed with GGA-PBE, the XRD peak list of K2ZrB was computed for a wavelength of 1.5418 Å.

Structural model:
abc: 8.859 8.859 8.859
angles: 93.79 93.79 150.19
Atoms (fractional coordinates):
1 K 0.375 0.213 0.338
2 K 0.787 0.125 0.162
3 K 0.875 0.037 0.662
4 K 0.963 0.625 0.838
5 Zr 0.250 0.750 0.500
6 Zr 0.500 0.500 0.000
7 B 0.000 0.000 0.000
8 B 0.750 0.250 0.500

The 6 most intense peaks (5° ≤ 2θ ≤ 70°), low angle first:
- 14.6°, intensity 59
- 23.2°, intensity 25
- 25.5°, intensity 100
- 29.5°, intensity 36
- 33.1°, intensity 72
- 42.3°, intensity 26

=====

Repeat the fifth record exactly.
Starting from a crystal structure in Alexandria, relaxed with GGA-PBE, the XRD peak list of KMgC2O10 was computed for a wavelength of 1.5418 Å.

Structural model:
abc: 5.106 6.259 7.171
angles: 71.60 71.66 68.64
Atoms (fractional coordinates):
1 K 0.000 0.000 0.000
2 Mg 0.000 0.500 0.500
3 C 0.406 0.459 0.742
4 C 0.594 0.541 0.258
5 O 0.211 0.138 0.411
6 O 0.246 0.360 0.708
7 O 0.288 0.640 0.815
8 O 0.315 0.632 0.297
9 O 0.322 0.115 0.235
10 O 0.678 0.885 0.765
11 O 0.685 0.368 0.703
12 O 0.712 0.360 0.185
13 O 0.754 0.640 0.292
14 O 0.789 0.862 0.589

The 6 most intense peaks (5° ≤ 2θ ≤ 70°), low angle first:
- 18.1°, intensity 30
- 28.9°, intensity 93
- 29.4°, intensity 100
- 31.7°, intensity 30
- 35.2°, intensity 33
- 36.7°, intensity 45